# Mn2Tl3Br3F4
Calculated powder XRD pattern, CuKα. Input: a crystal structure in Alexandria, relaxed with GGA+U.
Intensities are scaled so that the largest is 100.

Principal peaks in the range 2θ from 10° to 90°, sorted by position:
16.54 deg, I 37, hkl 1 1 0
23.76 deg, I 60, hkl 1 5 0
26.84 deg, I 86, hkl 1 0 1
27.54 deg, I 100, hkl 0 5 1
30.30 deg, I 80, hkl 1 4 1
32.69 deg, I 71, hkl 2 0 0
34.18 deg, I 57, hkl 1 6 1
34.97 deg, I 51, hkl 0 10 0
43.28 deg, I 93, hkl 0 0 2
44.63 deg, I 41, hkl 1 10 1
48.61 deg, I 42, hkl 2 10 0
56.86 deg, I 38, hkl 0 10 2

Cell and atoms:
```
data_Mn2Tl3Br3F4
_chemical_formula_sum 'Mn4 Tl6 Br6 F8'
_space_group_name_H-M_alt 'I m m 2'
_space_group_IT_number 44
_space_group_name_Hall 'I 2 -2'
_cell_length_a 5.479
_cell_length_b 25.659
_cell_length_c 4.176
_cell_angle_alpha 90.00
_cell_angle_beta 90.00
_cell_angle_gamma 90.00
loop_
_atom_site_label
_atom_site_type_symbol
_atom_site_fract_x
_atom_site_fract_y
_atom_site_fract_z
Mn1 Mn 0.000 0.115 0.000
Tl1 Tl 0.000 0.299 0.991
Tl2 Tl 0.000 0.500 0.996
Br1 Br 0.000 0.000 0.998
Br2 Br 0.000 0.394 0.493
F1 F 0.000 0.114 0.500
F2 F 0.000 0.196 0.005
```